(1)
Sm7In5: computed X-ray powder pattern (Cu Kα), based on a DFT-relaxed cell (GGA-PBE, Alexandria).

Structure:
a b c (Å): 11.447 4.964 14.328
angles (deg): 90.00 113.19 90.00
Space group C2/m (No. 12)
Asymmetric unit:
Sm 0.000 0.000 0.000
Sm 0.016 0.500 0.287
Sm 0.169 0.000 0.533
Sm 0.229 0.000 0.814
In 0.000 0.500 0.500
In 0.165 0.500 0.944
In 0.200 0.000 0.300

Main lines, low angle first (10° ≤ 2θ ≤ 90°):
d 3.293, 2θ 27.08, I 259
d 3.006, 2θ 29.72, I 1000
d 2.897, 2θ 30.86, I 460
d 2.861, 2θ 31.26, I 622
d 2.630, 2θ 34.09, I 473
d 2.618, 2θ 34.25, I 352
d 2.482, 2θ 36.19, I 575
d 2.464, 2θ 36.47, I 481
d 1.886, 2θ 48.24, I 162
d 1.448, 2θ 64.34, I 172



(2)
Rb3Pa2O6: computed X-ray powder pattern (Cu Kα), based on a DFT-relaxed cell (GGA-PBE, Alexandria).

Structure:
a b c (Å): 4.393 4.393 23.996
angles (deg): 90.00 90.00 90.00
Space group I4/mmm (No. 139)
Asymmetric unit:
Rb 0.000 0.000 0.000
Rb 0.000 0.000 0.195
Pa 0.000 0.000 0.400
O 0.000 0.000 0.316
O 0.000 0.500 0.090

Main lines, low angle first (10° ≤ 2θ ≤ 90°):
d 5.999, 2θ 14.77, I 201
d 4.321, 2θ 20.55, I 231
d 3.240, 2θ 27.53, I 1000
d 3.106, 2θ 28.74, I 446
d 2.400, 2θ 37.48, I 145
d 2.197, 2θ 41.09, I 243
d 1.899, 2θ 47.90, I 217
d 1.818, 2θ 50.17, I 394
d 1.620, 2θ 56.82, I 170
d 1.503, 2θ 61.71, I 129



(3)
LiIr2Rh4: computed X-ray powder pattern (Cu Kα), based on a DFT-relaxed cell (GGA-PBE, Alexandria).

Structure:
a b c (Å): 4.657 10.599 4.312
angles (deg): 90.00 90.00 90.00
Space group Pbam (No. 55)
Asymmetric unit:
Li 0.000 0.000 0.000
Ir 0.240 0.181 0.500
Rh 0.064 0.312 0.000
Rh 0.245 0.438 0.500

Main lines, low angle first (10° ≤ 2θ ≤ 90°):
d 5.299, 2θ 16.73, I 383
d 4.312, 2θ 20.60, I 575
d 2.717, 2θ 32.97, I 199
d 2.303, 2θ 39.11, I 410
d 2.156, 2θ 41.90, I 436
d 2.049, 2θ 44.21, I 627
d 2.031, 2θ 44.61, I 1000
d 1.574, 2θ 58.66, I 253
d 1.339, 2θ 70.30, I 220
d 1.138, 2θ 85.31, I 210



(4)
HoInGa: computed X-ray powder pattern (Cu Kα), based on a DFT-relaxed cell (GGA-PBE, Alexandria).

Structure:
a b c (Å): 3.461 3.461 11.719
angles (deg): 90.00 90.00 90.00
Space group I4mm (No. 107)
Asymmetric unit:
Ho 0.000 0.000 0.000
In 0.000 0.000 0.692
Ga 0.000 0.000 0.339

Main lines, low angle first (10° ≤ 2θ ≤ 90°):
d 3.320, 2θ 26.86, I 145
d 2.591, 2θ 34.62, I 1000
d 2.448, 2θ 36.72, I 446
d 1.953, 2θ 46.49, I 94
d 1.731, 2θ 52.90, I 154
d 1.527, 2θ 60.66, I 168
d 1.439, 2θ 64.78, I 316
d 1.295, 2θ 73.05, I 96
d 1.107, 2θ 88.32, I 69
d 1.095, 2θ 89.55, I 71



Copy entry 1 word for word.
Sm7In5: computed X-ray powder pattern (Cu Kα), based on a DFT-relaxed cell (GGA-PBE, Alexandria).

Structure:
a b c (Å): 11.447 4.964 14.328
angles (deg): 90.00 113.19 90.00
Space group C2/m (No. 12)
Asymmetric unit:
Sm 0.000 0.000 0.000
Sm 0.016 0.500 0.287
Sm 0.169 0.000 0.533
Sm 0.229 0.000 0.814
In 0.000 0.500 0.500
In 0.165 0.500 0.944
In 0.200 0.000 0.300

Main lines, low angle first (10° ≤ 2θ ≤ 90°):
d 3.293, 2θ 27.08, I 259
d 3.006, 2θ 29.72, I 1000
d 2.897, 2θ 30.86, I 460
d 2.861, 2θ 31.26, I 622
d 2.630, 2θ 34.09, I 473
d 2.618, 2θ 34.25, I 352
d 2.482, 2θ 36.19, I 575
d 2.464, 2θ 36.47, I 481
d 1.886, 2θ 48.24, I 162
d 1.448, 2θ 64.34, I 172



- Number 3 is which compound?
  LiIr2Rh4